Calculated X-ray diffraction stick pattern
Compound: Nb5CrB4Ru10
Radiation: Cu Kα, 1.54184 Å
Structure: DFT lattice parameters and positions (GGA-PBE)

Atomic structure:
```
Nb5CrB4Ru10
1.0
9.419 0.000 0.000
0.000 9.419 0.000
0.000 0.000 2.993
Nb Cr B Ru
5 1 4 10
Cartesian
0.000 0.000 0.000
1.686 6.357 0.000
3.062 1.686 0.000
6.357 7.733 0.000
7.733 3.062 0.000
4.709 4.709 0.000
1.189 3.592 0.000
3.592 8.230 0.000
5.827 1.189 0.000
8.230 5.827 0.000
0.000 4.709 1.496
0.688 2.073 1.496
2.073 8.731 1.496
2.696 4.072 1.496
4.072 6.723 1.496
4.709 0.000 1.496
5.347 2.696 1.496
6.723 5.347 1.496
7.346 0.688 1.496
8.731 7.346 1.496
```

Most intense lines, 2θ from 15° to 90°, in order of falling intensity:
2θ = 42.84°, 2.111 Å, intensity 100, hkl 3 1 1; 2θ = 39.45°, 2.284 Å, intensity 87, hkl 1 4 0; 2θ = 36.84°, 2.440 Å, intensity 70, hkl 2 1 1; 2θ = 42.94°, 2.106 Å, intensity 41, hkl 4 2 0; 2θ = 46.12°, 1.968 Å, intensity 38, hkl 2 3 1; 2θ = 40.53°, 2.226 Å, intensity 35, hkl 2 2 1; 2θ = 76.03°, 1.252 Å, intensity 24, hkl 1 4 2; 2θ = 78.62°, 1.217 Å, intensity 23, hkl 1 7 1; 2θ = 70.69°, 1.333 Å, intensity 22, hkl 5 5 0; 2θ = 34.33°, 2.612 Å, intensity 21, hkl 2 3 0